# 1
This entry pairs a crystal structure of Li9Ca2Ag6 with its simulated powder diffraction line list. Radiation: Cu Kα X-rays. Structure: a crystal structure in Alexandria, relaxed with GGA-PBE.

Top 10 peaks for 2θ = 10–90°, sorted by position:
Position (°2θ)	d/Å	I (rel.)
18.31	4.844	377
19.79	4.486	752
27.09	3.291	230
32.00	2.797	744
37.91	2.373	1000
40.21	2.243	150
52.29	1.750	342
57.04	1.615	132
60.99	1.519	230
71.56	1.319	136

Structure:
abc: 5.594 5.594 13.457
angles: 90.00 90.00 120.00
Fractional coordinates of all 17 atoms:
Li: 0.000 0.500 0.000
Li: 0.000 0.500 0.338
Li: 0.000 0.500 0.662
Li: 0.500 0.000 0.000
Li: 0.500 0.000 0.338
Li: 0.500 0.000 0.662
Li: 0.500 0.500 0.000
Li: 0.500 0.500 0.338
Li: 0.500 0.500 0.662
Ca: 0.000 0.000 0.162
Ca: 0.000 0.000 0.838
Ag: 0.333 0.667 0.171
Ag: 0.333 0.667 0.500
Ag: 0.333 0.667 0.829
Ag: 0.667 0.333 0.171
Ag: 0.667 0.333 0.500
Ag: 0.667 0.333 0.829

---

# 2
This entry pairs a crystal structure of LiCa2Ag3 with its simulated powder diffraction line list. Radiation: Cu Kα X-rays. Structure: a crystal structure in Alexandria, relaxed with GGA-PBE.

Top 10 peaks for 2θ = 10–90°, sorted by position:
Position (°2θ)	d/Å	I (rel.)
21.67	4.102	152
22.34	3.980	301
24.20	3.678	364
31.30	2.858	138
32.70	2.738	1000
37.99	2.368	939
45.56	1.991	388
50.95	1.792	179
64.11	1.453	360
65.37	1.428	156

Structure:
abc: 9.465 8.978 6.003
angles: 75.46 66.66 37.87
Fractional coordinates of all 12 atoms:
Li: 0.167 0.167 0.833
Li: 0.833 0.833 0.167
Ca: 0.250 0.250 0.250
Ca: 0.253 0.747 0.747
Ca: 0.747 0.253 0.253
Ca: 0.750 0.750 0.750
Ag: 0.157 0.672 0.328
Ag: 0.328 0.843 0.157
Ag: 0.329 0.329 0.671
Ag: 0.671 0.671 0.329
Ag: 0.672 0.157 0.843
Ag: 0.843 0.328 0.672

---

# 3
This entry pairs a crystal structure of Li5Ca2Ag12 with its simulated powder diffraction line list. Radiation: Cu Kα X-rays. Structure: a crystal structure in Alexandria, relaxed with GGA-PBE.

Top 10 peaks for 2θ = 10–90°, sorted by position:
Position (°2θ)	d/Å	I (rel.)
18.82	4.716	507
25.18	3.537	173
29.61	3.016	125
32.89	2.723	133
33.52	2.674	271
38.17	2.358	1000
42.88	2.109	579
51.25	1.783	114
68.98	1.361	179
81.67	1.179	126

Structure:
abc: 7.204 7.204 7.204
angles: 81.79 81.79 81.79
Fractional coordinates of all 19 atoms:
Li: 0.000 0.000 0.500
Li: 0.000 0.500 0.000
Li: 0.092 0.092 0.092
Li: 0.500 0.000 0.000
Li: 0.908 0.908 0.908
Ca: 0.352 0.352 0.352
Ca: 0.648 0.648 0.648
Ag: 0.000 0.304 0.696
Ag: 0.000 0.696 0.304
Ag: 0.143 0.661 0.661
Ag: 0.304 0.000 0.696
Ag: 0.304 0.696 0.000
Ag: 0.339 0.339 0.857
Ag: 0.339 0.857 0.339
Ag: 0.661 0.143 0.661
Ag: 0.661 0.661 0.143
Ag: 0.696 0.000 0.304
Ag: 0.696 0.304 0.000
Ag: 0.857 0.339 0.339

---

# 4
This entry pairs a crystal structure of LiCaAg2 with its simulated powder diffraction line list. Radiation: Cu Kα X-rays. Structure: a crystal structure in Alexandria, relaxed with GGA-PBE.

Top 10 peaks for 2θ = 10–90°, sorted by position:
Position (°2θ)	d/Å	I (rel.)
15.75	5.625	458
23.09	3.852	216
24.56	3.624	663
26.96	3.307	330
31.38	2.851	326
36.79	2.443	1000
37.17	2.419	623
37.97	2.370	363
46.52	1.952	275
56.41	1.631	180

Structure:
abc: 4.739 6.614 5.625
angles: 90.00 90.00 90.00
Fractional coordinates of all 8 atoms:
Li: 0.250 0.250 0.213
Li: 0.750 0.750 0.787
Ca: 0.250 0.750 0.343
Ca: 0.750 0.250 0.657
Ag: 0.250 0.528 0.844
Ag: 0.250 0.972 0.844
Ag: 0.750 0.028 0.156
Ag: 0.750 0.472 0.156